(1)
Computed X-ray diffraction stick pattern
Compound: AcErLuPb
Radiation: a wavelength of 1.5418 Å
Structure: a DFT-relaxed cell (PBE, Alexandria)

Largest 9 diffraction maxima, most intense first, 15° ≤ 2θ ≤ 90°:
- (2 2 0), 2θ = 32.14°, I 100
- (4 2 2), 2θ = 57.31°, I 40
- (4 0 0), 2θ = 46.10°, I 19
- (6 2 0), 2θ = 76.50°, I 17
- (4 4 0), 2θ = 67.24°, I 12
- (4 4 4), 2θ = 85.40°, I 4
- (2 0 0), 2θ = 22.58°, I 1
- (4 2 0), 2θ = 51.92°, I 1
- (2 2 2), 2θ = 39.64°, I 1

Cell and atoms:
a b c (Å): 7.876 7.876 7.876
angles (deg): 90.00 90.00 90.00
Space group F-43m (No. 216)
Symmetry-distinct sites (fractional):
Ac (0.000, 0.000, 0.000) (multiplicity 4)
Er (0.250, 0.250, 0.250) (multiplicity 4)
Lu (0.250, 0.250, 0.750) (multiplicity 4)
Pb (0.000, 0.000, 0.500) (multiplicity 4)

***

(2)
Computed X-ray diffraction stick pattern
Compound: Na2CaBiS4
Radiation: a wavelength of 1.5418 Å
Structure: a DFT-relaxed cell (PBE, Alexandria)

Largest 10 diffraction maxima, most intense first, 15° ≤ 2θ ≤ 90°:
- (2 2 0), 2θ = 31.20°, I 100
- (2 2 4), 2θ = 44.73°, I 47
- (2 1 1), 2θ = 25.94°, I 37
- (0 0 2), 2θ = 15.48°, I 24
- (0 1 3), 2θ = 25.74°, I 17
- (2 1 3), 2θ = 34.24°, I 15
- (2 2 2), 2θ = 34.99°, I 14
- (2 3 1), 2θ = 40.66°, I 14
- (0 2 2), 2θ = 26.70°, I 14
- (2 0 2), 2θ = 27.18°, I 13

Cell and atoms:
a b c (Å): 8.010 8.222 11.445
angles (deg): 90.00 90.00 90.00
Space group Imma (No. 74)
Symmetry-distinct sites (fractional):
Na (0.000, 0.000, 0.000) (multiplicity 4)
Na (0.250, 0.250, 0.250) (multiplicity 4)
Ca (0.000, 0.000, 0.500) (multiplicity 4)
Bi (0.250, 0.250, 0.750) (multiplicity 4)
S (0.000, 0.011, 0.748) (multiplicity 8)
S (0.244, 0.250, 0.512) (multiplicity 8)